Diffraction record for Tb2Ge5Ru3. The powder diffraction line list is computed, not measured: it uses the GGA-PBE geometry in Alexandria and CuKα.
Intensities are scaled so that the largest is 100.

The 10 most intense peaks (15 to 90 degrees two-theta), by angle:
| d_spacing | Rel. int. |
| --- | --- |
| 2.646 | 78 |
| 2.605 | 100 |
| 2.498 | 85 |
| 2.473 | 19 |
| 2.312 | 24 |
| 2.237 | 29 |
| 2.125 | 84 |
| 1.996 | 23 |
| 1.610 | 38 |
| 1.447 | 19 |

```
data_Tb2Ge5Ru3
_chemical_formula_sum 'Tb4 Ge10 Ru6'
_cell_length_a 8.487
_cell_length_b 8.487
_cell_length_c 8.487
_cell_angle_alpha 108.72
_cell_angle_beta 84.93
_cell_angle_gamma 140.13
_symmetry_space_group_name_H-M 'P 1'
_symmetry_Int_Tables_number 1
_symmetry_space_group_name_Hall 'P 1'
loop_
_atom_site_label
_atom_site_fract_x
_atom_site_fract_y
_atom_site_fract_z
Tb1 0.140 0.231 0.371
Tb2 0.360 0.731 0.091
Tb3 0.640 0.269 0.909
Tb4 0.860 0.769 0.629
Ge1 0.043 0.750 0.293
Ge2 0.088 0.676 0.764
Ge3 0.250 0.250 0.000
Ge4 0.412 0.176 0.588
Ge5 0.457 0.750 0.707
Ge6 0.543 0.250 0.293
Ge7 0.588 0.824 0.412
Ge8 0.750 0.750 0.000
Ge9 0.912 0.324 0.236
Ge10 0.957 0.250 0.707
Ru1 0.148 0.909 0.057
Ru2 0.250 0.750 0.500
Ru3 0.352 0.409 0.761
Ru4 0.648 0.591 0.239
Ru5 0.750 0.250 0.500
Ru6 0.852 0.091 0.943
```